Starting from a structure optimized by DFT (GGA-PBE), the powder XRD pattern of B2PdAuI was simulated for Cu Kα X-rays.
Neutral-atom scattering factors, no anomalous dispersion.

Crystal structure
```
5
Lattice="3.297 0.000 0.000 1.568 4.132 0.000 1.576 0.341 6.955" Properties=species:S:1:pos:R:3 pbc="T T T"
B 0.000 0.000 0.000
B 1.647 0.027 0.021
Pd 2.513 0.763 1.886
Au 4.074 2.421 6.379
I 4.118 2.628 3.409
```

The 8 most intense peaks (10 to 90 degrees two-theta), sorted by position:
| Position (°2θ) | I (rel.) | index |
| --- | --- | --- |
| 21.5 | 75 | 0 1 0 |
| 24.5 | 67 | 0 1 1 |
| 25.6 | 76 | 0 0 2 |
| 29.5 | 100 | 1 0 0 |
| 30.0 | 99 | 1 1 1 |
| 34.5 | 92 | 0 1 -2 |
| 43.2 | 39 | 1 0 -2 |
| 43.9 | 73 | 1 1 3 |